BaNi9P5: theoretical powder diffraction line list (CuKα), based on a cell relaxed with GGA-PBE.
Lines closer than 0.1° are merged.

a b c (Å): 6.5143 6.5143 10.8599
angles (deg): 90.00 90.00 120.00
Sites, in units of the cell vectors:
Ba1 0.0000 0.0000 0.0000
Ba2 0.0000 0.0000 0.5000
Ni1 0.0716 0.5358 0.1073
Ni2 0.0716 0.5358 0.3927
Ni3 0.2030 0.4061 0.7500
Ni4 0.2030 0.7970 0.7500
Ni5 0.4061 0.2030 0.2500
Ni6 0.4642 0.5358 0.1073
Ni7 0.4642 0.5358 0.3927
Ni8 0.4642 0.9284 0.1073
Ni9 0.4642 0.9284 0.3927
Ni10 0.5358 0.0716 0.6073
Ni11 0.5358 0.0716 0.8927
Ni12 0.5358 0.4642 0.6073
Ni13 0.5358 0.4642 0.8927
Ni14 0.5939 0.7970 0.7500
Ni15 0.7970 0.2030 0.2500
Ni16 0.7970 0.5939 0.2500
Ni17 0.9284 0.4642 0.6073
Ni18 0.9284 0.4642 0.8927
P1 0.1757 0.3515 0.2500
P2 0.1757 0.8243 0.2500
P3 0.3333 0.6667 0.5618
P4 0.3333 0.6667 0.9382
P5 0.3515 0.1757 0.7500
P6 0.6485 0.8243 0.2500
P7 0.6667 0.3333 0.0618
P8 0.6667 0.3333 0.4382
P9 0.8243 0.1757 0.7500
P10 0.8243 0.6485 0.7500

Peak list (8 most intense, 2θ = 10–90°, low angle first)
2θ (°)	d (Å)	Rel. int.
31.7	2.821	61
32.0	2.793	73
35.9	2.503	100
36.7	2.446	60
46.4	1.956	39
49.6	1.837	47
54.7	1.677	76
56.5	1.629	41

---

BaNi8P4: theoretical powder diffraction line list (CuKα), based on a cell relaxed with GGA-PBE.
Lines closer than 0.1° are merged.

a b c (Å): 7.2164 7.2164 7.2164
angles (deg): 93.70 93.70 150.58
Sites, in units of the cell vectors:
Ba1 0.0000 0.0000 0.0000
Ni1 0.0136 0.6336 0.6471
Ni2 0.2360 0.3429 0.5789
Ni3 0.3429 0.7640 0.1069
Ni4 0.3664 0.0136 0.3800
Ni5 0.6336 0.9864 0.6200
Ni6 0.6571 0.2360 0.8931
Ni7 0.7640 0.6571 0.4211
Ni8 0.9864 0.3664 0.3529
P1 0.2284 0.5770 0.8053
P2 0.4230 0.2284 0.6514
P3 0.5770 0.7716 0.3486
P4 0.7716 0.4230 0.1947

Peak list (8 most intense, 2θ = 10–90°, low angle first)
2θ (°)	d (Å)	Rel. int.
28.6	3.122	48
31.7	2.820	44
36.7	2.448	100
41.2	2.193	21
45.2	2.004	48
49.8	1.832	33
52.7	1.738	66
54.2	1.693	29

---

BaNi10P6: theoretical powder diffraction line list (CuKα), based on a cell relaxed with GGA-PBE.
Lines closer than 0.1° are merged.

a b c (Å): 8.7123 8.7123 8.7661
angles (deg): 90.00 90.00 136.69
Sites, in units of the cell vectors:
Ba1 0.0000 0.0000 0.0000
Ba2 0.5000 0.5000 0.5000
Ni1 0.0231 0.3730 0.4711
Ni2 0.0453 0.9547 0.6187
Ni3 0.0881 0.4119 0.7500
Ni4 0.1270 0.4769 0.0289
Ni5 0.2096 0.7904 0.7949
Ni6 0.2904 0.7096 0.2949
Ni7 0.3730 0.0231 0.5289
Ni8 0.4119 0.0881 0.2500
Ni9 0.4547 0.5453 0.1187
Ni10 0.4769 0.1270 0.9711
Ni11 0.5231 0.8730 0.0289
Ni12 0.5453 0.4547 0.8813
Ni13 0.5881 0.9119 0.7500
Ni14 0.6270 0.9769 0.4711
Ni15 0.7096 0.2904 0.7051
Ni16 0.7904 0.2096 0.2051
Ni17 0.8730 0.5231 0.9711
Ni18 0.9119 0.5881 0.2500
Ni19 0.9547 0.0453 0.3813
Ni20 0.9769 0.6270 0.5289
P1 0.0899 0.9101 0.3723
P2 0.1402 0.3598 0.2500
P3 0.2084 0.7916 0.0743
P4 0.2916 0.7084 0.5743
P5 0.3598 0.1402 0.7500
P6 0.4101 0.5899 0.8723
P7 0.5899 0.4101 0.1277
P8 0.6402 0.8598 0.2500
P9 0.7084 0.2916 0.4257
P10 0.7916 0.2084 0.9257
P11 0.8598 0.6402 0.7500
P12 0.9101 0.0899 0.6277

Peak list (8 most intense, 2θ = 10–90°, low angle first)
2θ (°)	d (Å)	Rel. int.
29.9	2.988	58
32.6	2.747	53
35.7	2.518	100
36.4	2.469	70
37.7	2.386	83
47.7	1.907	73
52.2	1.751	50
53.9	1.701	67

---

Ba6Ni25S27: theoretical powder diffraction line list (CuKα), based on a cell relaxed with GGA-PBE.
Lines closer than 0.1° are merged.

a b c (Å): 10.0524 10.0524 10.0524
angles (deg): 90.00 90.00 90.00
Sites, in units of the cell vectors:
Ba1 0.0000 0.0000 0.3051
Ba2 0.0000 0.0000 0.6949
Ba3 0.0000 0.3051 0.0000
Ba4 0.0000 0.6949 0.0000
Ba5 0.3051 0.0000 0.0000
Ba6 0.6949 0.0000 0.0000
Ni1 0.1414 0.3666 0.3666
Ni2 0.1414 0.3666 0.6334
Ni3 0.1414 0.6334 0.3666
Ni4 0.1414 0.6334 0.6334
Ni5 0.3666 0.1414 0.3666
Ni6 0.3666 0.1414 0.6334
Ni7 0.3666 0.3666 0.1414
Ni8 0.3666 0.3666 0.8586
Ni9 0.3666 0.6334 0.1414
Ni10 0.3666 0.6334 0.8586
Ni11 0.3666 0.8586 0.3666
Ni12 0.3666 0.8586 0.6334
Ni13 0.5000 0.5000 0.5000
Ni14 0.6334 0.1414 0.3666
Ni15 0.6334 0.1414 0.6334
Ni16 0.6334 0.3666 0.1414
Ni17 0.6334 0.3666 0.8586
Ni18 0.6334 0.6334 0.1414
Ni19 0.6334 0.6334 0.8586
Ni20 0.6334 0.8586 0.3666
Ni21 0.6334 0.8586 0.6334
Ni22 0.8586 0.3666 0.3666
Ni23 0.8586 0.3666 0.6334
Ni24 0.8586 0.6334 0.3666
Ni25 0.8586 0.6334 0.6334
S1 0.0000 0.0000 0.0000
S2 0.0000 0.2623 0.5000
S3 0.0000 0.5000 0.2623
S4 0.0000 0.5000 0.7377
S5 0.0000 0.7377 0.5000
S6 0.2223 0.2223 0.2223
S7 0.2223 0.2223 0.7777
S8 0.2223 0.7777 0.2223
S9 0.2223 0.7777 0.7777
S10 0.2609 0.5000 0.5000
S11 0.2623 0.0000 0.5000
S12 0.2623 0.5000 0.0000
S13 0.5000 0.0000 0.2623
S14 0.5000 0.0000 0.7377
S15 0.5000 0.2609 0.5000
S16 0.5000 0.2623 0.0000
S17 0.5000 0.5000 0.2609
S18 0.5000 0.5000 0.7391
S19 0.5000 0.7377 0.0000
S20 0.5000 0.7391 0.5000
S21 0.7377 0.0000 0.5000
S22 0.7377 0.5000 0.0000
S23 0.7391 0.5000 0.5000
S24 0.7777 0.2223 0.2223
S25 0.7777 0.2223 0.7777
S26 0.7777 0.7777 0.2223
S27 0.7777 0.7777 0.7777

Peak list (8 most intense, 2θ = 10–90°, low angle first)
2θ (°)	d (Å)	Rel. int.
26.6	3.351	64
28.1	3.179	81
29.5	3.031	47
30.8	2.902	78
39.1	2.306	73
51.4	1.777	100
53.1	1.724	26
61.9	1.499	26

---

BaSrNi3: theoretical powder diffraction line list (CuKα), based on a cell relaxed with GGA-PBE.
Lines closer than 0.1° are merged.

a b c (Å): 4.1295 4.1295 8.8728
angles (deg): 90.00 90.00 120.00
Sites, in units of the cell vectors:
Ba1 0.0000 0.0000 0.0000
Sr1 0.6667 0.3333 0.4441
Ni1 0.0000 0.0000 0.6763
Ni2 0.3333 0.6667 0.7138
Ni3 0.6667 0.3333 0.7541

Peak list (8 most intense, 2θ = 10–90°, low angle first)
2θ (°)	d (Å)	Rel. int.
24.9	3.576	31
26.9	3.317	100
30.2	2.958	36
32.1	2.784	66
39.5	2.279	79
43.8	2.065	85
54.2	1.693	40
61.3	1.511	32

---

Ba3NiTe4: theoretical powder diffraction line list (CuKα), based on a cell relaxed with GGA-PBE.
Lines closer than 0.1° are merged.

a b c (Å): 8.0710 4.5273 8.3364
angles (deg): 90.00 90.86 90.00
Sites, in units of the cell vectors:
Ba1 0.0000 0.0000 0.0000
Ba2 0.9995 0.5000 0.4999
Ba3 0.4999 0.0000 0.9998
Ni1 0.4991 0.5000 0.4993
Te1 0.2579 0.5000 0.1897
Te2 0.3125 0.0000 0.6221
Te3 0.6866 0.0000 0.3777
Te4 0.7424 0.5000 0.8109

Peak list (8 most intense, 2θ = 10–90°, low angle first)
2θ (°)	d (Å)	Rel. int.
23.9	3.726	33
25.0	3.558	74
31.1	2.877	52
31.5	2.843	100
31.7	2.823	41
38.0	2.368	64
39.8	2.264	36
51.4	1.779	25